The following is a simulated powder X-ray diffraction pattern of HfP2S6. It was derived from a GGA-PBE-relaxed structure, using CuKα.

Principal peaks in the range 2θ = 5–70°, in order of rising 2θ:
- (0 1 -1), 13.8 deg, intensity 100
- (0 0 2), 16.2 deg, intensity 15
- (-1 1 1), 17.2 deg, intensity 26
- (1 0 -2), 18.0 deg, intensity 12
- (1 1 -2), 23.1 deg, intensity 12
- (0 1 -3), 24.3 deg, intensity 15
- (2 -2 0), 30.7 deg, intensity 12
- (1 1 -4), 32.9 deg, intensity 25
- (2 -3 1), 40.4 deg, intensity 11
- (3 -1 2), 45.6 deg, intensity 13

Atomic structure:
Unit cell a=7.1391 b=7.1391 c=11.6619 alpha=101.75 beta=101.75 gamma=109.54
Space group P1 (No. 1)
Asymmetric unit:
Hf: 0.0000 0.0000 0.0000 (multiplicity 1)
Hf: 0.2488 0.7454 0.5018 (multiplicity 1)
P: 0.0026 0.8754 0.6722 (multiplicity 1)
P: 0.0301 0.4143 0.1693 (multiplicity 1)
P: 0.1301 0.7589 0.1735 (multiplicity 1)
P: 0.6587 0.7929 0.6768 (multiplicity 1)
S: 0.0521 0.6124 0.6525 (multiplicity 1)
S: 0.0581 0.9991 0.5325 (multiplicity 1)
S: 0.1465 0.1040 0.8375 (multiplicity 1)
S: 0.2389 0.8138 0.0315 (multiplicity 1)
S: 0.2797 0.3289 0.1535 (multiplicity 1)
S: 0.3470 0.9110 0.3367 (multiplicity 1)
S: 0.4716 0.5330 0.5341 (multiplicity 1)
S: 0.5754 0.0317 0.6568 (multiplicity 1)
S: 0.6720 0.7304 0.8411 (multiplicity 1)
S: 0.7774 0.2128 0.0316 (multiplicity 1)
S: 0.8578 0.8112 0.1496 (multiplicity 1)
S: 0.9675 0.4161 0.3353 (multiplicity 1)